Computed X-ray powder pattern of ErPu3Tl4Se8 for CuKα, from a crystal structure in Alexandria, relaxed with GGA-PBE.
Lines closer than 0.1° are merged.

Main lines, in order of falling intensity (5° ≤ 2θ ≤ 70°):
2θ/deg, d (Å), I_rel
28.88, 3.092, 100
39.73, 2.269, 38
42.82, 2.112, 36
25.54, 3.488, 28
69.96, 1.345, 21
52.47, 1.744, 19
65.56, 1.424, 14
23.06, 3.856, 14
49.19, 1.852, 12
59.83, 1.546, 12

Crystal structure
Lattice parameters (Å, degrees): 8.4477 8.4477 23.1380 90.00 90.00 120.00
Space group R-3m (No. 166, hexagonal axes)
One atom of each set of equivalent atoms:
Er1 0.0000 0.0000 0.0000 (multiplicity 3)
Pu1 0.0000 0.5000 0.0000 (multiplicity 9)
Tl1 0.0000 0.0000 0.5000 (multiplicity 3)
Tl2 0.0000 0.5000 0.5000 (multiplicity 9)
Se1 0.0000 0.0000 0.2658 (multiplicity 6)
Se2 0.0046 0.5023 0.7345 (multiplicity 18)



Computed X-ray powder pattern of As4S5 for CuKα, from a crystal structure in Alexandria, relaxed with GGA-PBE.
Lines closer than 0.1° are merged.

Main lines, in order of falling intensity (5° ≤ 2θ ≤ 70°):
2θ/deg, d (Å), I_rel
13.73, 6.450, 100
15.31, 5.786, 99
23.88, 3.726, 70
50.39, 1.811, 52
27.52, 3.242, 52
30.80, 2.903, 48
30.95, 2.889, 44
11.11, 7.963, 39
27.26, 3.272, 35
27.66, 3.225, 34

Crystal structure
Lattice parameters (Å, degrees): 8.1779 8.4140 8.2508 90.00 103.49 90.00
Space group P2_1/m (No. 11)
One atom of each set of equivalent atoms:
As1 0.0290 0.2500 0.4498 (multiplicity 2)
As2 0.2399 0.5176 0.8914 (multiplicity 4)
As3 0.2796 0.7500 0.5246 (multiplicity 2)
S1 0.0252 0.0408 0.2726 (multiplicity 4)
S2 0.2879 0.7500 0.0385 (multiplicity 2)
S3 0.3802 0.5370 0.6848 (multiplicity 4)